1.
Diffraction record for Cs2Al2B2O7. The powder XRD pattern is computed, not measured: it uses a cell relaxed with PBE and Cu Kα X-rays.

Structure:
```
Cs2Al2B2O7
1.0
6.869 0.000 0.000
0.000 7.230 0.000
-4.130 0.000 8.854
Cs Al B O
4 4 4 14
direct
0.217 0.134 0.381
0.217 0.366 0.881
0.783 0.634 0.119
0.783 0.866 0.619
0.240 0.614 0.540
0.240 0.886 0.040
0.760 0.114 0.960
0.760 0.386 0.460
0.358 0.617 0.278
0.358 0.883 0.778
0.642 0.117 0.222
0.642 0.383 0.722
0.000 0.000 0.000
0.000 0.500 0.500
0.256 0.665 0.367
0.256 0.835 0.867
0.264 0.666 0.126
0.264 0.834 0.626
0.453 0.020 0.167
0.453 0.480 0.667
0.547 0.520 0.333
0.547 0.980 0.833
0.736 0.166 0.374
0.736 0.334 0.874
0.744 0.165 0.133
0.744 0.335 0.633
```

The 6 most intense peaks (10° ≤ 2θ ≤ 80°), in order of rising 2θ:
2theta	I_rel
19.1	55.7
23.6	100.0
26.6	96.9
28.2	99.7
28.7	75.1
30.1	65.9


2.
Diffraction record for Cs2AlBS4. The powder XRD pattern is computed, not measured: it uses a cell relaxed with PBE and Cu Kα X-rays.

Structure:
```
Cs2AlBS4
1.0
0.000 6.976 12.488
2.770 0.000 12.488
2.770 6.976 0.000
Cs Al B S
4 2 2 8
direct
0.051 0.051 0.699
0.301 0.301 0.949
0.699 0.699 0.051
0.949 0.949 0.301
0.125 0.125 0.125
0.875 0.875 0.875
0.375 0.375 0.375
0.625 0.625 0.625
0.037 0.623 0.553
0.287 0.553 0.623
0.377 0.963 0.713
0.447 0.713 0.963
0.553 0.287 0.037
0.623 0.037 0.287
0.713 0.447 0.377
0.963 0.377 0.447
```

The 6 most intense peaks (10° ≤ 2θ ≤ 80°), in order of rising 2θ:
2theta	I_rel
20.3	75.0
24.9	100.0
25.3	30.0
25.5	28.4
27.2	97.9
30.8	70.8


3.
Diffraction record for Al6Cu2B4O17. The powder XRD pattern is computed, not measured: it uses a cell relaxed with PBE and Cu Kα X-rays.

Structure:
```
Al6Cu2B4O17
1.0
7.452 -2.865 0.000
7.452 2.865 0.000
-7.447 0.000 7.655
Al Cu B O
6 2 4 17
direct
0.000 0.000 0.000
0.314 0.811 0.836
0.318 0.822 0.345
0.811 0.314 0.836
0.822 0.318 0.345
0.842 0.842 0.054
0.630 0.630 0.680
0.787 0.787 0.626
0.050 0.050 0.581
0.312 0.312 0.573
0.318 0.318 0.101
0.574 0.574 0.098
0.028 0.028 0.198
0.041 0.448 0.501
0.055 0.055 0.455
0.171 0.595 0.165
0.189 0.189 0.970
0.252 0.845 0.648
0.362 0.784 0.031
0.441 0.441 0.714
0.448 0.041 0.501
0.572 0.572 0.225
0.595 0.171 0.165
0.603 0.603 0.480
0.673 0.673 0.912
0.784 0.362 0.031
0.836 0.836 0.880
0.845 0.252 0.648
0.965 0.965 0.790
```

The 6 most intense peaks (10° ≤ 2θ ≤ 80°), in order of rising 2θ:
2theta	I_rel
11.6	42.0
11.9	27.6
16.6	100.0
17.6	91.2
33.6	46.1
45.3	23.6


4.
Diffraction record for Dy2AlB2Ir5. The powder XRD pattern is computed, not measured: it uses a cell relaxed with PBE and Cu Kα X-rays.

Structure:
```
Dy2AlB2Ir5
1.0
9.628 0.000 0.000
0.000 9.628 0.000
0.000 0.000 3.135
Dy Al B Ir
4 2 4 10
direct
0.177 0.323 0.000
0.323 0.823 0.000
0.677 0.177 0.000
0.823 0.677 0.000
0.000 0.000 0.000
0.500 0.500 0.000
0.122 0.622 0.000
0.378 0.122 0.000
0.622 0.878 0.000
0.878 0.378 0.000
0.000 0.500 0.500
0.068 0.781 0.500
0.219 0.068 0.500
0.281 0.568 0.500
0.432 0.281 0.500
0.500 0.000 0.500
0.568 0.719 0.500
0.719 0.432 0.500
0.781 0.932 0.500
0.932 0.219 0.500
```

The 6 most intense peaks (10° ≤ 2θ ≤ 80°), in order of rising 2θ:
2theta	I_rel
28.5	32.4
35.4	83.9
38.6	100.0
41.3	81.0
42.0	33.1
44.6	44.5


5.
Diffraction record for Dy2AlBPt6. The powder XRD pattern is computed, not measured: it uses a cell relaxed with PBE and Cu Kα X-rays.

Structure:
```
Dy2AlBPt6
1.0
5.673 0.000 0.000
0.000 8.619 0.000
0.000 0.000 7.305
Dy Al B Pt
4 2 2 12
direct
0.250 0.035 0.211
0.250 0.465 0.211
0.750 0.535 0.789
0.750 0.965 0.789
0.250 0.750 0.820
0.750 0.250 0.180
0.250 0.250 0.691
0.750 0.750 0.309
0.001 0.250 0.906
0.009 0.750 0.517
0.250 0.005 0.647
0.250 0.495 0.647
0.491 0.750 0.517
0.499 0.250 0.906
0.501 0.750 0.094
0.509 0.250 0.483
0.750 0.505 0.353
0.750 0.995 0.353
0.991 0.250 0.483
0.999 0.750 0.094
```

The 6 most intense peaks (10° ≤ 2θ ≤ 80°), in order of rising 2θ:
2theta	I_rel
29.1	26.3
32.1	58.6
35.9	31.5
38.0	100.0
40.3	43.6
41.9	37.1


6.
Diffraction record for ErAl3B4O12. The powder XRD pattern is computed, not measured: it uses a cell relaxed with PBE and Cu Kα X-rays.

Structure:
```
ErAl3B4O12
1.0
4.674 2.698 2.428
-4.674 2.698 2.428
0.000 -5.397 2.428
Er Al B O
1 3 4 12
direct
0.000 0.000 0.000
0.000 0.445 0.555
0.445 0.555 0.000
0.555 0.000 0.445
0.056 0.944 0.500
0.500 0.056 0.944
0.500 0.500 0.500
0.944 0.500 0.056
0.029 0.781 0.630
0.092 0.500 0.908
0.219 0.971 0.370
0.351 0.500 0.649
0.370 0.219 0.971
0.500 0.649 0.351
0.500 0.908 0.092
0.630 0.029 0.781
0.649 0.351 0.500
0.781 0.630 0.029
0.908 0.092 0.500
0.971 0.370 0.219
```

The 6 most intense peaks (10° ≤ 2θ ≤ 80°), in order of rising 2θ:
2theta	I_rel
16.4	100.0
19.0	63.2
25.2	70.2
31.7	48.5
33.1	98.9
38.4	46.4


7.
Diffraction record for YErAl6B8O24. The powder XRD pattern is computed, not measured: it uses a cell relaxed with PBE and Cu Kα X-rays.

Structure:
```
YErAl6B8O24
1.0
5.924 0.000 0.000
0.000 9.356 0.000
-2.928 0.000 6.654
Y Er Al B O
1 1 6 8 24
direct
0.000 0.000 0.000
0.000 0.500 0.500
0.000 0.445 0.000
0.000 0.945 0.500
0.444 0.777 0.777
0.446 0.278 0.278
0.554 0.278 0.722
0.556 0.777 0.223
0.056 0.223 0.721
0.057 0.721 0.223
0.500 0.000 0.500
0.500 0.057 0.000
0.500 0.500 0.000
0.500 0.556 0.500
0.943 0.721 0.777
0.944 0.223 0.279
0.027 0.575 0.205
0.030 0.077 0.704
0.092 0.296 0.204
0.092 0.796 0.704
0.219 0.302 0.670
0.221 0.799 0.172
0.351 0.926 0.574
0.352 0.426 0.075
0.369 0.624 0.595
0.373 0.125 0.097
0.500 0.149 0.500
0.500 0.408 0.500
0.500 0.649 0.000
0.500 0.908 0.000
0.627 0.125 0.903
0.631 0.624 0.405
0.648 0.426 0.925
0.649 0.926 0.426
0.779 0.799 0.828
0.781 0.302 0.330
0.908 0.296 0.796
0.908 0.796 0.296
0.970 0.077 0.296
0.973 0.575 0.795
```

The 6 most intense peaks (10° ≤ 2θ ≤ 80°), in order of rising 2θ:
2theta	I_rel
16.4	70.1
19.0	46.2
25.1	60.1
31.7	37.5
33.0	100.0
38.4	38.6


8.
Diffraction record for Er2AlB2Ru5. The powder XRD pattern is computed, not measured: it uses a cell relaxed with PBE and Cu Kα X-rays.

Structure:
```
Er2AlB2Ru5
1.0
9.542 0.000 0.000
0.000 9.542 0.000
0.000 0.000 3.105
Er Al B Ru
4 2 4 10
direct
0.177 0.323 0.000
0.323 0.823 0.000
0.677 0.177 0.000
0.823 0.677 0.000
0.000 0.000 0.000
0.500 0.500 0.000
0.125 0.625 0.000
0.375 0.125 0.000
0.625 0.875 0.000
0.875 0.375 0.000
0.000 0.500 0.500
0.069 0.783 0.500
0.217 0.069 0.500
0.283 0.569 0.500
0.431 0.283 0.500
0.500 0.000 0.500
0.569 0.717 0.500
0.717 0.431 0.500
0.783 0.931 0.500
0.931 0.217 0.500
```

The 6 most intense peaks (10° ≤ 2θ ≤ 80°), in order of rising 2θ:
2theta	I_rel
35.8	99.6
38.9	100.0
40.1	33.7
41.7	78.3
45.0	31.0
73.5	30.5


9.
Diffraction record for EuAl3B4O12. The powder XRD pattern is computed, not measured: it uses a cell relaxed with PBE and Cu Kα X-rays.

Structure:
```
EuAl3B4O12
1.0
3.659 -4.713 0.000
3.659 4.713 0.000
-2.671 0.000 10.939
Eu Al B O
2 6 8 24
direct
0.039 0.961 0.750
0.961 0.039 0.250
0.194 0.694 0.471
0.306 0.806 0.029
0.411 0.589 0.250
0.589 0.411 0.750
0.694 0.194 0.971
0.806 0.306 0.529
0.121 0.492 0.778
0.222 0.280 0.005
0.280 0.222 0.505
0.492 0.121 0.278
0.508 0.879 0.722
0.720 0.778 0.495
0.778 0.720 0.995
0.879 0.508 0.222
0.004 0.807 0.062
0.103 0.576 0.295
0.131 0.369 0.497
0.182 0.696 0.864
0.193 0.996 0.438
0.271 0.355 0.758
0.301 0.506 0.074
0.304 0.818 0.636
0.355 0.271 0.258
0.369 0.131 0.997
0.424 0.897 0.205
0.494 0.699 0.426
0.506 0.301 0.574
0.576 0.103 0.795
0.631 0.869 0.003
0.645 0.729 0.742
0.696 0.182 0.364
0.699 0.494 0.926
0.729 0.645 0.242
0.807 0.004 0.562
0.818 0.304 0.136
0.869 0.631 0.503
0.897 0.424 0.705
0.996 0.193 0.938
```

The 6 most intense peaks (10° ≤ 2θ ≤ 80°), in order of rising 2θ:
2theta	I_rel
15.6	59.8
16.2	35.2
20.3	33.8
24.9	39.6
32.7	100.0
39.2	29.0


10.
Diffraction record for AlBF6. The powder XRD pattern is computed, not measured: it uses a cell relaxed with PBE and Cu Kα X-rays.

Structure:
```
AlBF6
1.0
2.179 -4.482 0.000
2.179 4.482 0.000
-1.155 0.000 4.191
Al B F
1 1 6
direct
0.000 0.000 0.000
0.500 0.500 0.500
0.153 0.404 0.275
0.260 0.260 0.737
0.404 0.153 0.275
0.596 0.847 0.725
0.740 0.740 0.263
0.847 0.596 0.725
```

The 6 most intense peaks (10° ≤ 2θ ≤ 80°), in order of rising 2θ:
2theta	I_rel
19.8	100.0
27.6	39.6
39.8	17.3
45.9	51.4
52.9	20.7
62.7	15.5